No. 1
This entry pairs a crystal structure of Na4CoO3 with its calculated PXRD pattern. Radiation: Cu Kα (λ = 1.5418 Å). Structure: a PBE+U-relaxed structure.

Cell and atoms:
```
data_Na4CoO3
_chemical_formula_sum 'Na16 Co4 O12'
_cell_length_a 11.1157
_cell_length_b 5.7955
_cell_length_c 8.2202
_cell_angle_alpha 90.00
_cell_angle_beta 114.07
_cell_angle_gamma 90.00
_space_group_name_H-M_alt 'C 1 c 1'
_space_group_IT_number 9
loop_
_space_group_symop_operation_xyz
'x,y,z'
'x,-y,z+1/2'
'x+1/2,y+1/2,z'
'x+1/2,-y+1/2,z+1/2'
loop_
_atom_site_label
_atom_site_fract_x
_atom_site_fract_y
_atom_site_fract_z
Na1 0.0000 0.1573 0.0000
Na2 0.1005 0.2913 0.7228
Na3 0.1845 0.1707 0.4115
Na4 0.4041 0.1603 0.8188
Co1 0.2718 0.3488 0.1218
O1 0.1056 0.4952 0.9812
O2 0.2242 0.0509 0.1664
O3 0.4325 0.4901 0.2041
```

Peak list (10 most intense, 2θ = 10–90°, low angle first)
- hkl 1 1 -1, 19.1 deg, 4.636 Å, rel. 21
- hkl 2 0 -2, 23.0 deg, 3.863 Å, rel. 33
- hkl 1 1 -2, 26.6 deg, 3.351 Å, rel. 17
- hkl 4 0 -2, 33.6 deg, 2.666 Å, rel. 20
- hkl 2 2 -1, 35.3 deg, 2.546 Å, rel. 52
- hkl 1 1 -3, 36.7 deg, 2.447 Å, rel. 100
- hkl 4 2 -2, 46.3 deg, 1.962 Å, rel. 15
- hkl 3 1 -4, 47.5 deg, 1.916 Å, rel. 29
- hkl 1 3 2, 55.9 deg, 1.644 Å, rel. 23
- hkl 0 2 5, 70.7 deg, 1.333 Å, rel. 14


No. 2
This entry pairs a crystal structure of Na3Co5O10 with its calculated PXRD pattern. Radiation: Cu Kα (λ = 1.5418 Å). Structure: a PBE+U-relaxed structure.

Cell and atoms:
```
data_Na3Co5O10
_chemical_formula_sum 'Na6 Co10 O20'
_cell_length_a 4.9145
_cell_length_b 14.2948
_cell_length_c 5.7690
_cell_angle_alpha 90.00
_cell_angle_beta 106.74
_cell_angle_gamma 90.00
_space_group_name_H-M_alt 'C 1 m 1'
_space_group_IT_number 8
loop_
_space_group_symop_operation_xyz
'x,y,z'
'x,-y,z'
'x+1/2,y+1/2,z'
'x+1/2,-y+1/2,z'
loop_
_atom_site_label
_atom_site_fract_x
_atom_site_fract_y
_atom_site_fract_z
Na1 0.0000 0.0000 0.0000
Na2 0.0036 0.1985 0.0007
Co1 0.3337 0.3001 0.4914
Co2 0.3337 0.5000 0.4890
Co3 0.3380 0.1003 0.5027
O1 0.2265 0.0000 0.6720
O2 0.2290 0.2007 0.6748
O3 0.2312 0.4002 0.6731
O4 0.4356 0.0000 0.3241
O5 0.4362 0.1985 0.3150
O6 0.4505 0.3995 0.3153
```

Peak list (10 most intense, 2θ = 10–90°, low angle first)
- hkl 0 0 1, 16.0 deg, 5.525 Å, rel. 100
- hkl 0 0 2, 32.4 deg, 2.762 Å, rel. 13
- hkl 1 5 0, 36.8 deg, 2.443 Å, rel. 13
- hkl 1 5 -1, 38.0 deg, 2.370 Å, rel. 22
- hkl 2 0 0, 38.2 deg, 2.353 Å, rel. 11
- hkl 1 5 -2, 45.7 deg, 1.983 Å, rel. 32
- hkl 2 0 1, 46.1 deg, 1.970 Å, rel. 16
- hkl 1 5 2, 53.7 deg, 1.708 Å, rel. 14
- hkl 3 5 -1, 65.7 deg, 1.421 Å, rel. 10
- hkl 1 5 3, 68.2 deg, 1.375 Å, rel. 9


No. 3
This entry pairs a crystal structure of Na3Co2O4 with its calculated PXRD pattern. Radiation: Cu Kα (λ = 1.5418 Å). Structure: a PBE+U-relaxed structure.

Cell and atoms:
```
data_Na3Co2O4
_chemical_formula_sum 'Na12 Co8 O16'
_cell_length_a 5.7447
_cell_length_b 8.1030
_cell_length_c 10.5343
_cell_angle_alpha 90.00
_cell_angle_beta 90.00
_cell_angle_gamma 90.00
_space_group_name_H-M_alt 'C m c m'
_space_group_IT_number 63
_space_group_name_Hall '-C 2c 2'
loop_
_atom_site_label
_atom_site_fract_x
_atom_site_fract_y
_atom_site_fract_z
Na1 0.0000 0.1461 0.0615
Na2 0.0000 0.1837 0.7500
Co1 0.0000 0.4322 0.2500
Co2 0.0000 0.5000 0.0000
O1 0.2213 0.4188 0.1141
```

Peak list (10 most intense, 2θ = 10–90°, low angle first)
- hkl 1 1 0, 18.9 deg, 4.686 Å, rel. 100
- hkl 0 2 0, 21.9 deg, 4.051 Å, rel. 53
- hkl 0 2 1, 23.5 deg, 3.781 Å, rel. 55
- hkl 2 0 0, 31.1 deg, 2.872 Å, rel. 31
- hkl 1 3 0, 36.8 deg, 2.444 Å, rel. 49
- hkl 1 3 1, 37.8 deg, 2.381 Å, rel. 27
- hkl 1 1 4, 39.2 deg, 2.296 Å, rel. 35
- hkl 2 2 3, 46.6 deg, 1.949 Å, rel. 48
- hkl 2 0 4, 46.8 deg, 1.941 Å, rel. 45
- hkl 2 2 4, 52.3 deg, 1.751 Å, rel. 19


No. 4
This entry pairs a crystal structure of Na3Co4O8 with its calculated PXRD pattern. Radiation: Cu Kα (λ = 1.5418 Å). Structure: a PBE+U-relaxed structure.

Cell and atoms:
```
data_Na3Co4O8
_chemical_formula_sum 'Na6 Co8 O16'
_cell_length_a 3.0363
_cell_length_b 22.0287
_cell_length_c 5.1303
_cell_angle_alpha 90.00
_cell_angle_beta 90.00
_cell_angle_gamma 90.00
_space_group_name_H-M_alt 'I m m 2'
_space_group_IT_number 44
loop_
_space_group_symop_operation_xyz
'x,y,z'
'-x,-y,z'
'-x,y,z'
'x,-y,z'
'x+1/2,y+1/2,z+1/2'
'-x+1/2,-y+1/2,z+1/2'
'-x+1/2,y+1/2,z+1/2'
'x+1/2,-y+1/2,z+1/2'
loop_
_atom_site_label
_atom_site_fract_x
_atom_site_fract_y
_atom_site_fract_z
Na1 0.0000 0.0000 0.0000
Na2 0.0000 0.2498 0.6654
Co1 0.0000 0.1232 0.3324
Co2 0.0000 0.3731 0.3295
O1 0.0000 0.0818 0.6691
O2 0.0000 0.1755 0.0056
O3 0.0000 0.3252 0.0024
O4 0.0000 0.4216 0.6495
```

Peak list (10 most intense, 2θ = 10–90°, low angle first)
- hkl 0 4 0, 16.1 deg, 5.507 Å, rel. 100
- hkl 0 8 0, 32.5 deg, 2.754 Å, rel. 17
- hkl 1 0 1, 34.3 deg, 2.613 Å, rel. 13
- hkl 1 4 1, 38.1 deg, 2.361 Å, rel. 59
- hkl 0 4 2, 38.7 deg, 2.325 Å, rel. 27
- hkl 1 6 1, 42.5 deg, 2.129 Å, rel. 18
- hkl 1 8 1, 48.0 deg, 1.895 Å, rel. 27
- hkl 0 8 2, 48.5 deg, 1.877 Å, rel. 14
- hkl 1 12 1, 61.8 deg, 1.502 Å, rel. 20
- hkl 1 0 3, 62.3 deg, 1.490 Å, rel. 16


No. 5
This entry pairs a crystal structure of Na2CoO3 with its calculated PXRD pattern. Radiation: Cu Kα (λ = 1.5418 Å). Structure: a PBE+U-relaxed structure.

Cell and atoms:
```
data_Na2CoO3
_chemical_formula_sum 'Na16 Co8 O24'
_cell_length_a 14.8866
_cell_length_b 5.6397
_cell_length_c 10.5605
_cell_angle_alpha 90.00
_cell_angle_beta 101.46
_cell_angle_gamma 90.00
_space_group_name_H-M_alt 'C 1 2/c 1'
_space_group_IT_number 15
loop_
_space_group_symop_operation_xyz
'x,y,z'
'-x,-y,-z'
'-x,y,-z+1/2'
'x,-y,z+1/2'
'x+1/2,y+1/2,z'
'-x+1/2,-y+1/2,-z'
'-x+1/2,y+1/2,-z+1/2'
'x+1/2,-y+1/2,z+1/2'
loop_
_atom_site_label
_atom_site_fract_x
_atom_site_fract_y
_atom_site_fract_z
Na1 0.0714 0.1813 0.1616
Na2 0.1749 0.1621 0.8771
Co1 0.1236 0.3394 0.5263
O1 0.0887 0.1827 0.3883
O2 0.1125 0.2165 0.6652
O3 0.1682 0.3864 0.0573
```

Peak list (10 most intense, 2θ = 10–90°, low angle first)
- hkl 0 0 2, 17.1 deg, 5.175 Å, rel. 31
- hkl 1 1 -2, 23.2 deg, 3.829 Å, rel. 30
- hkl 4 0 0, 24.4 deg, 3.647 Å, rel. 100
- hkl 0 2 0, 31.7 deg, 2.820 Å, rel. 13
- hkl 4 0 2, 32.8 deg, 2.734 Å, rel. 24
- hkl 2 2 1, 35.8 deg, 2.505 Å, rel. 24
- hkl 1 1 -4, 37.6 deg, 2.391 Å, rel. 13
- hkl 7 1 -1, 45.6 deg, 1.990 Å, rel. 20
- hkl 1 3 -2, 51.7 deg, 1.768 Å, rel. 14
- hkl 1 3 -4, 60.5 deg, 1.531 Å, rel. 16